# TbNdTlPd
Simulated PXRD pattern, Cu Kα (weighted mean of Kα1 and Kα2). Input: DFT lattice parameters and positions (GGA-PBE).

Largest 7 diffraction maxima, by intensity, 2θ from 5° to 70°:
| 2θ (°) | I/Imax |
| --- | --- |
| 34.00 | 100 |
| 60.84 | 38 |
| 48.84 | 18 |
| 20.63 | 5 |
| 40.10 | 3 |
| 53.55 | 1 |
| 64.97 | 1 |

Structural model:
abc: 5.274 5.274 5.274
angles: 60.00 60.00 60.00
Sites, in units of the cell vectors:
Tb  0.000  0.000  0.000
Nd  0.500  0.500  0.500
Tl  0.250  0.250  0.250
Pd  0.750  0.750  0.750